(1)
The following is a computed powder diffractogram of Ce2BeGa2Pt4. It was derived from a crystal structure in Alexandria, relaxed with PBE, using a wavelength of 1.5418 Å.
No peak broadening, texture or thermal motion is included.

Largest 8 diffraction maxima, by intensity, 2θ from 10° to 90°:
d_spacing  I_rel
2.516  100
2.264  41
1.351  29
1.513  18
1.601  14
2.034  11
4.069  10
1.258  10

a = 6.088 Å, b = 6.088 Å, c = 6.088 Å
α = 116.53°, β = 116.53°, γ = 96.12°
Element x y z (fractional)
Ce1 0.250 0.750 0.500
Ce2 0.750 0.250 0.500
Be1 0.000 0.000 0.000
Ga1 0.313 0.313 0.000
Ga2 0.687 0.687 0.000
Pt1 0.255 0.255 0.510
Pt2 0.255 0.745 0.000
Pt3 0.745 0.255 0.000
Pt4 0.745 0.745 0.490


(2)
The following is a computed powder diffractogram of CeBeGa2Rh4. It was derived from a crystal structure in Alexandria, relaxed with PBE, using a wavelength of 1.5418 Å.
No peak broadening, texture or thermal motion is included.

Largest 8 diffraction maxima, by intensity, 2θ from 10° to 90°:
d_spacing  I_rel
2.130  100
2.292  73
2.897  36
1.259  34
2.477  30
1.560  26
1.230  16
1.842  15

a = 8.175 Å, b = 8.175 Å, c = 8.175 Å
α = 30.21°, β = 30.21°, γ = 30.21°
Element x y z (fractional)
Ce1 0.000 0.000 0.000
Be1 0.500 0.500 0.500
Ga1 0.240 0.240 0.240
Ga2 0.760 0.760 0.760
Rh1 0.132 0.132 0.132
Rh2 0.399 0.399 0.399
Rh3 0.601 0.601 0.601
Rh4 0.868 0.868 0.868